# 1
Structure and calculated powder diffraction line list of MnSbO4 (a PBE+U-relaxed structure; Cu Kα (weighted mean of Kα1 and Kα2)).
Lines closer than 0.1° are merged.

Cell and atoms:
```
12
Lattice="5.2807 0.0000 0.0000 0.0000 4.6339 0.0000 0.0000 0.0000 5.5776" Properties=species:S:1:pos:R:3 pbc="T T T"
Mn 0.0000 0.0000 0.0000
Mn 0.0000 2.3170 2.7888
Sb 2.6404 0.0000 1.7337
Sb 2.6404 2.3170 4.5225
O 0.9087 1.0277 1.4750
O 0.9087 1.2892 4.2638
O 1.8001 3.4273 3.0572
O 1.8001 3.5236 0.2684
O 3.4806 1.1104 0.2684
O 3.4806 1.2066 3.0572
O 4.3721 3.3447 4.2638
O 4.3721 3.6062 1.4750
```

Peak list (10 most intense, 5 to 70 degrees two-theta, by angle)
2θ 16.79, I 21, hkl 1 0 0
2θ 24.98, I 53, hkl 0 1 1
2θ 30.25, I 100, hkl 1 1 1
2θ 33.95, I 17, hkl 2 0 0
2θ 36.43, I 24, hkl 1 0 2
2θ 42.61, I 24, hkl 2 1 1
2θ 52.55, I 19, hkl 2 2 0
2θ 54.33, I 31, hkl 1 2 2
2θ 58.48, I 16, hkl 3 1 1
2θ 62.38, I 15, hkl 3 0 2


# 2
Structure and calculated powder diffraction line list of Ta3ZnFe3O12F2 (a PBE+U-relaxed structure; Cu Kα (weighted mean of Kα1 and Kα2)).
Lines closer than 0.1° are merged.

Cell and atoms:
```
21
Lattice="4.7319 0.0000 0.0000 0.0000 3.1606 0.0000 -0.2993 0.0000 19.0427" Properties=species:S:1:pos:R:3 pbc="T T T"
Ta 0.0000 0.0000 0.0000
Ta -0.0602 0.0000 4.7145
Ta 3.6396 0.0000 9.8178
Zn 2.2408 1.5803 7.0359
Fe 1.7357 1.5803 16.3580
Fe 2.3473 1.5803 2.4218
Fe 4.0791 0.0000 14.4542
O 0.4930 1.5803 17.9833
O 0.6698 0.0000 9.6351
O 0.8588 1.5803 3.6855
O 0.8917 0.0000 15.6278
O 1.2022 0.0000 6.0762
O 1.3212 0.0000 1.2718
O 3.0515 0.0000 7.9941
O 3.1257 1.5803 10.7412
O 3.2806 0.0000 3.0741
O 3.1814 1.5803 15.0245
O 3.7061 1.5803 0.6826
O 3.6863 1.5803 5.3853
F -0.0696 0.0000 12.7600
F 2.8571 0.0000 17.4370
```

Peak list (10 most intense, 5 to 70 degrees two-theta, by angle)
2θ 18.64, I 42, hkl 0 0 4
2θ 18.76, I 28, hkl 1 0 0
2θ 19.40, I 14, hkl 1 0 1
2θ 23.27, I 22, hkl 1 0 -3
2θ 26.35, I 42, hkl 1 0 -4
2θ 26.77, I 57, hkl 1 0 4
2θ 28.24, I 17, hkl 0 1 0
2θ 34.08, I 100, hkl 0 1 4
2θ 37.81, I 17, hkl 0 0 8
2θ 52.06, I 20, hkl 1 1 8